# PuGa8Pt2
Calculated powder diffractogram, Cu Kα (λ = 1.5418 Å). Input: a crystal structure in Alexandria, relaxed with PBE.
No peak broadening, texture or thermal motion is included.

Largest 12 diffraction maxima, in order of rising 2θ, 2θ = 15–90°:
| Position (°2θ) | I (rel.) |
| --- | --- |
| 15.3 | 16 |
| 19.2 | 26 |
| 24.7 | 96 |
| 39.0 | 100 |
| 41.6 | 25 |
| 44.3 | 39 |
| 47.4 | 23 |
| 51.4 | 27 |
| 62.4 | 15 |
| 64.5 | 13 |
| 66.9 | 14 |
| 78.0 | 26 |

Structure:
```
PuGa8Pt2
1.0
5.782 0.000 0.000
0.000 5.782 0.000
0.000 0.000 7.676
Pu Ga Pt
1 8 2
Cartesian
0.000 0.000 0.000 Pu
1.484 1.484 2.211 Ga
1.484 1.484 5.466 Ga
1.484 4.298 2.211 Ga
1.484 4.298 5.466 Ga
4.298 1.484 2.211 Ga
4.298 1.484 5.466 Ga
4.298 4.298 2.211 Ga
4.298 4.298 5.466 Ga
0.000 2.891 3.838 Pt
2.891 0.000 3.838 Pt
```

# Rb2Ga12Pt7
Calculated powder diffractogram, Cu Kα (λ = 1.5418 Å). Input: a crystal structure in Alexandria, relaxed with PBE.
No peak broadening, texture or thermal motion is included.

Largest 12 diffraction maxima, in order of rising 2θ, 2θ = 15–90°:
| Position (°2θ) | I (rel.) |
| --- | --- |
| 26.3 | 53 |
| 27.2 | 44 |
| 29.0 | 37 |
| 29.9 | 28 |
| 33.9 | 87 |
| 36.2 | 30 |
| 40.9 | 44 |
| 42.2 | 100 |
| 42.7 | 54 |
| 45.9 | 24 |
| 49.3 | 44 |
| 50.9 | 26 |

Structure:
```
Rb2Ga12Pt7
1.0
10.337 0.000 0.000
-5.168 8.952 0.000
0.000 0.000 4.230
Rb Ga Pt
2 12 7
Cartesian
0.000 0.000 0.000 Rb
0.000 5.968 2.115 Rb
-1.186 2.479 2.115 Ga
-2.358 6.616 0.000 Ga
-2.429 8.739 2.115 Ga
0.618 3.602 0.000 Ga
2.851 1.820 0.000 Ga
3.457 3.780 2.115 Ga
5.335 1.104 2.115 Ga
1.740 7.686 0.000 Ga
3.614 6.686 2.115 Ga
7.336 1.559 0.000 Ga
5.319 5.573 0.000 Ga
6.713 4.068 2.115 Ga
-2.020 3.908 0.000 Pt
1.411 2.248 2.115 Pt
-0.774 8.747 0.000 Pt
2.794 5.249 0.000 Pt
5.168 2.984 0.000 Pt
7.685 0.098 2.115 Pt
6.409 6.606 2.115 Pt
```

# Rb2GaPt
Calculated powder diffractogram, Cu Kα (λ = 1.5418 Å). Input: a crystal structure in Alexandria, relaxed with PBE.
No peak broadening, texture or thermal motion is included.

Largest 12 diffraction maxima, in order of rising 2θ, 2θ = 15–90°:
| Position (°2θ) | I (rel.) |
| --- | --- |
| 23.9 | 41 |
| 24.2 | 77 |
| 25.2 | 45 |
| 25.8 | 74 |
| 26.1 | 56 |
| 30.5 | 80 |
| 34.7 | 100 |
| 36.5 | 33 |
| 41.4 | 66 |
| 41.5 | 51 |
| 43.1 | 42 |
| 51.5 | 31 |

Structure:
```
Rb2GaPt
1.0
3.850 -2.101 0.000
3.850 2.101 0.000
-1.096 0.000 10.364
Rb Ga Pt
2 1 1
Cartesian
0.000 0.000 0.000 Rb
4.983 0.000 5.690 Rb
2.379 0.000 3.011 Ga
-0.124 0.000 3.230 Pt
```

# Ga8Pt2Rh
Calculated powder diffractogram, Cu Kα (λ = 1.5418 Å). Input: a crystal structure in Alexandria, relaxed with PBE.
No peak broadening, texture or thermal motion is included.

Largest 12 diffraction maxima, in order of rising 2θ, 2θ = 15–90°:
| Position (°2θ) | I (rel.) |
| --- | --- |
| 19.4 | 97 |
| 21.1 | 48 |
| 25.7 | 45 |
| 30.4 | 32 |
| 31.2 | 87 |
| 34.3 | 32 |
| 40.9 | 64 |
| 41.8 | 100 |
| 42.9 | 35 |
| 43.9 | 29 |
| 44.8 | 25 |
| 48.9 | 33 |

Structure:
```
Ga8Pt2Rh
1.0
4.886 0.000 0.000
2.273 6.191 0.000
0.683 0.916 6.610
Ga Pt Rh
8 2 1
Cartesian
0.420 0.734 1.146 Ga
2.854 4.437 2.727 Ga
3.004 3.461 6.229 Ga
2.394 1.445 4.228 Ga
5.449 5.661 2.383 Ga
4.838 3.645 0.382 Ga
4.988 2.670 3.883 Ga
7.422 6.373 5.464 Ga
4.448 5.028 4.665 Pt
3.394 2.079 1.945 Pt
2.443 0.000 0.000 Rh
```

# Ga4Pt4Rh5
Calculated powder diffractogram, Cu Kα (λ = 1.5418 Å). Input: a crystal structure in Alexandria, relaxed with PBE.
No peak broadening, texture or thermal motion is included.

Largest 12 diffraction maxima, in order of rising 2θ, 2θ = 15–90°:
| Position (°2θ) | I (rel.) |
| --- | --- |
| 30.0 | 13 |
| 37.3 | 16 |
| 40.2 | 100 |
| 44.0 | 21 |
| 44.5 | 6 |
| 48.1 | 18 |
| 59.0 | 9 |
| 67.2 | 13 |
| 68.8 | 6 |
| 75.3 | 14 |
| 78.3 | 14 |
| 85.4 | 6 |

Structure:
```
Ga4Pt4Rh5
1.0
-4.824 4.824 2.058
4.824 -4.824 2.058
4.824 4.824 -2.058
Ga Pt Rh
4 4 5
Cartesian
7.386 1.101 0.000 Ga
1.101 2.261 0.000 Ga
3.723 2.562 2.058 Ga
-2.562 3.723 2.058 Ga
3.787 1.021 0.000 Pt
3.803 -1.037 2.058 Pt
1.021 5.860 0.000 Pt
1.037 3.803 2.058 Pt
0.000 0.000 0.000 Rh
5.731 3.094 0.000 Rh
3.094 3.916 0.000 Rh
1.729 0.908 2.058 Rh
-0.908 1.729 2.058 Rh
```

# Ga8Pt2Rh
Calculated powder diffractogram, Cu Kα (λ = 1.5418 Å). Input: a crystal structure in Alexandria, relaxed with PBE.
No peak broadening, texture or thermal motion is included.

Largest 12 diffraction maxima, in order of rising 2θ, 2θ = 15–90°:
| Position (°2θ) | I (rel.) |
| --- | --- |
| 19.4 | 86 |
| 31.0 | 91 |
| 35.9 | 75 |
| 36.5 | 51 |
| 41.7 | 50 |
| 42.2 | 100 |
| 43.5 | 46 |
| 43.7 | 89 |
| 44.1 | 76 |
| 44.7 | 70 |
| 45.8 | 59 |
| 56.2 | 43 |

Structure:
```
Ga8Pt2Rh
1.0
9.610 -1.637 0.000
9.610 1.637 0.000
-1.386 0.000 5.942
Ga Pt Rh
8 2 1
Cartesian
0.312 0.000 1.274 Ga
3.233 0.000 4.711 Ga
6.144 0.000 3.179 Ga
7.538 0.000 0.865 Ga
10.295 0.000 5.077 Ga
11.689 0.000 2.763 Ga
14.600 0.000 1.231 Ga
17.522 0.000 4.668 Ga
2.969 0.000 0.906 Pt
14.864 0.000 5.036 Pt
8.917 0.000 2.971 Rh
```

# Ga5Pt2Rh2
Calculated powder diffractogram, Cu Kα (λ = 1.5418 Å). Input: a crystal structure in Alexandria, relaxed with PBE.
No peak broadening, texture or thermal motion is included.

Largest 12 diffraction maxima, in order of rising 2θ, 2θ = 15–90°:
| Position (°2θ) | I (rel.) |
| --- | --- |
| 23.3 | 78 |
| 29.3 | 29 |
| 29.9 | 50 |
| 31.4 | 62 |
| 35.7 | 28 |
| 37.7 | 48 |
| 41.9 | 100 |
| 42.3 | 59 |
| 43.2 | 99 |
| 45.7 | 58 |
| 49.3 | 43 |
| 54.1 | 33 |

Structure:
```
Ga5Pt2Rh2
1.0
-7.398 2.985 3.352
7.398 -2.985 3.352
7.398 2.985 -3.352
Ga Pt Rh
10 4 4
Cartesian
1.114 0.960 0.000 Ga
6.284 0.960 0.000 Ga
3.699 2.183 -1.080 Ga
3.699 0.802 2.272 Ga
-2.391 2.210 1.093 Ga
2.391 -0.774 4.445 Ga
2.391 3.759 1.093 Ga
5.007 3.759 1.093 Ga
1.114 2.024 3.352 Ga
6.284 2.024 3.352 Ga
11.097 0.166 -0.097 Pt
0.000 2.985 1.278 Pt
0.000 0.000 4.630 Pt
-3.699 2.818 3.255 Pt
1.381 -0.229 2.177 Rh
6.017 -0.229 2.177 Rh
6.017 3.213 -1.175 Rh
8.779 0.229 2.177 Rh
```

# GaPtRh
Calculated powder diffractogram, Cu Kα (λ = 1.5418 Å). Input: a crystal structure in Alexandria, relaxed with PBE.
No peak broadening, texture or thermal motion is included.

Largest 12 diffraction maxima, in order of rising 2θ, 2θ = 15–90°:
| Position (°2θ) | I (rel.) |
| --- | --- |
| 17.3 | 9 |
| 31.7 | 22 |
| 35.1 | 8 |
| 40.6 | 100 |
| 43.6 | 43 |
| 53.8 | 9 |
| 57.2 | 8 |
| 63.4 | 14 |
| 71.6 | 16 |
| 72.2 | 6 |
| 78.0 | 29 |
| 87.8 | 10 |

Structure:
```
GaPtRh
1.0
-1.468 1.468 5.113
1.468 -1.468 5.113
1.468 1.468 -5.113
Ga Pt Rh
1 1 1
Cartesian
0.000 0.000 0.000 Ga
0.000 0.000 3.477 Pt
0.000 0.000 6.604 Rh
```